For HgBrN, a PBE-relaxed structure gives the theoretical X-ray powder pattern in this record (Cu Kα, 1.54184 Å).
Peak positions follow from Bragg's law for the DFT cell and can differ from measured ones.

Most intense lines, 2θ from 15° to 90°, low angle first:
| Position (°2θ) | intensity |
| --- | --- |
| 19.1 | 97 |
| 20.0 | 31 |
| 27.8 | 91 |
| 29.3 | 73 |
| 29.9 | 100 |
| 35.7 | 65 |
| 44.0 | 38 |
| 45.0 | 36 |
| 50.8 | 32 |
| 53.5 | 30 |

Structural model:
a b c (Å): 4.0452 4.4458 4.6477
angles (deg): 90.00 90.00 90.00
Fractional coordinates of all 3 atoms:
Hg (0.0000, 0.0000, 0.0000)
Br (0.5000, 0.5000, 0.7250)
N (0.5000, 0.0000, 0.8617)



For TaHg3F6, a PBE-relaxed structure gives the theoretical X-ray powder pattern in this record (Cu Kα, 1.54184 Å).
Peak positions follow from Bragg's law for the DFT cell and can differ from measured ones.

Most intense lines, 2θ from 15° to 90°, low angle first:
| Position (°2θ) | intensity |
| --- | --- |
| 19.3 | 21 |
| 22.5 | 27 |
| 23.1 | 63 |
| 33.8 | 70 |
| 35.8 | 49 |
| 41.3 | 100 |
| 59.3 | 37 |
| 60.4 | 19 |
| 65.6 | 23 |
| 75.9 | 17 |

Structural model:
a b c (Å): 5.3055 5.3055 7.7001
angles (deg): 90.00 90.00 120.00
Fractional coordinates of all 10 atoms:
Ta (0.0000, 0.0000, 0.0000)
Hg (0.0000, 0.0000, 0.5000)
Hg (0.3333, 0.6667, 0.5000)
Hg (0.6667, 0.3333, 0.5000)
F (0.0000, 0.2924, 0.1496)
F (0.0000, 0.7076, 0.8504)
F (0.2924, 0.0000, 0.1496)
F (0.2924, 0.2924, 0.8504)
F (0.7076, 0.0000, 0.8504)
F (0.7076, 0.7076, 0.1496)



For SiO2, a PBE-relaxed structure gives the theoretical X-ray powder pattern in this record (Cu Kα, 1.54184 Å).
Peak positions follow from Bragg's law for the DFT cell and can differ from measured ones.

Most intense lines, 2θ from 15° to 90°, low angle first:
| Position (°2θ) | intensity |
| --- | --- |
| 16.6 | 69 |
| 17.8 | 100 |
| 21.8 | 56 |
| 22.7 | 18 |
| 27.6 | 31 |
| 28.2 | 88 |
| 28.3 | 30 |
| 30.4 | 21 |
| 32.9 | 20 |
| 33.6 | 38 |

Structural model:
a b c (Å): 8.6529 8.6529 14.1215
angles (deg): 90.00 90.00 109.71
Fractional coordinates of all 48 atoms:
Si (0.0804, 0.6082, 0.6402)
Si (0.0804, 0.6082, 0.8598)
Si (0.2344, 0.4510, 0.0183)
Si (0.2344, 0.4510, 0.4817)
Si (0.3918, 0.9196, 0.6402)
Si (0.3918, 0.9196, 0.8598)
Si (0.4510, 0.2344, 0.5183)
Si (0.4510, 0.2344, 0.9817)
Si (0.5490, 0.7656, 0.0183)
Si (0.5490, 0.7656, 0.4817)
Si (0.6082, 0.0804, 0.1402)
Si (0.6082, 0.0804, 0.3598)
Si (0.7656, 0.5490, 0.5183)
Si (0.7656, 0.5490, 0.9817)
Si (0.9196, 0.3918, 0.1402)
Si (0.9196, 0.3918, 0.3598)
O (0.0695, 0.5495, 0.7500)
O (0.1012, 0.4043, 0.1037)
O (0.1012, 0.4043, 0.3963)
O (0.1509, 0.4875, 0.5787)
O (0.1509, 0.4875, 0.9213)
O (0.2016, 0.7984, 0.6300)
O (0.2016, 0.7984, 0.8700)
O (0.2963, 0.2963, 0.0000)
O (0.2963, 0.2963, 0.5000)
O (0.3880, 0.6120, 0.0499)
O (0.3880, 0.6120, 0.4501)
O (0.4043, 0.1012, 0.6037)
O (0.4043, 0.1012, 0.8963)
O (0.4505, 0.9305, 0.7500)
O (0.4875, 0.1509, 0.0787)
O (0.4875, 0.1509, 0.4213)
O (0.5125, 0.8491, 0.5787)
O (0.5125, 0.8491, 0.9213)
O (0.5495, 0.0695, 0.2500)
O (0.5957, 0.8988, 0.1037)
O (0.5957, 0.8988, 0.3963)
O (0.6120, 0.3880, 0.5499)
O (0.6120, 0.3880, 0.9501)
O (0.7037, 0.7037, 0.0000)
O (0.7037, 0.7037, 0.5000)
O (0.7984, 0.2016, 0.1300)
O (0.7984, 0.2016, 0.3700)
O (0.8491, 0.5125, 0.0787)
O (0.8491, 0.5125, 0.4213)
O (0.8988, 0.5957, 0.6037)
O (0.8988, 0.5957, 0.8963)
O (0.9305, 0.4505, 0.2500)